Structure and computed powder diffractogram of NaV5MoO15 (a crystal structure in Alexandria, relaxed with PBE+U; Cu Kα).
Lines closer than 0.1° are merged.

Largest 10 diffraction maxima, in order of rising 2θ, 10 to 90 degrees two-theta:
two_theta, I/Imax
11.75, 984
12.22, 230
18.31, 306
25.49, 1000
26.91, 246
28.17, 557
29.78, 610
31.77, 370
40.03, 252
48.67, 395

Structure:
a b c (Å): 8.2116 8.2116 10.2888
angles (deg): 109.12 109.12 26.34
Fractional coordinates of all 22 atoms:
Na1 0.0000 0.0000 0.0000
V1 0.1258 0.1258 0.7366
V2 0.2833 0.2833 0.0248
V3 0.3336 0.3336 0.7159
V4 0.6640 0.6640 0.5148
V5 0.7095 0.7095 0.2000
Mo1 0.8857 0.8857 0.5004
O1 0.0004 0.0004 0.6032
O2 0.1086 0.1086 0.8861
O3 0.1886 0.1886 0.5588
O4 0.2369 0.2369 0.1845
O5 0.2607 0.2607 0.8399
O6 0.3654 0.3654 0.5351
O7 0.3907 0.3907 0.0838
O8 0.4317 0.4317 0.8397
O9 0.5686 0.5686 0.3949
O10 0.6016 0.6016 0.1352
O11 0.6350 0.6350 0.6794
O12 0.7355 0.7355 0.3864
O13 0.7556 0.7556 0.0441
O14 0.8159 0.8159 0.6528
O15 0.8851 0.8851 0.3325